Starting from a DFT-relaxed cell (GGA-PBE, the Materials Project), the powder diffractogram of MoWS4 was calculated for copper Kα.

Largest 10 diffraction maxima, by intensity, 2θ from 10° to 90°:
- 2θ = 11.87°, 7.457 Å, intensity 100.0, hkl 0 0 3
- 2θ = 38.31°, 2.350 Å, intensity 37.6, hkl 1 0 5
- 2θ = 46.20°, 1.965 Å, intensity 25.1, hkl 0 1 8
- 2θ = 15.85°, 5.593 Å, intensity 24.7, hkl 0 0 4
- 2θ = 36.28°, 2.476 Å, intensity 17.7, hkl 0 1 4
- 2θ = 33.43°, 2.681 Å, intensity 17.4, hkl 1 0 2
- 2θ = 32.68°, 2.740 Å, intensity 17.3, hkl 0 1 1
- 2θ = 34.64°, 2.589 Å, intensity 15.9, hkl 1 0 3
- 2θ = 40.66°, 2.219 Å, intensity 15.3, hkl 1 0 6
- 2θ = 32.42°, 2.761 Å, intensity 14.6, hkl 1 0 0

```
6
Lattice="3.1884 0.0000 0.0000 -1.5942 2.7612 0.0000 0.0000 0.0000 22.3700" Properties=species:S:1:pos:R:3 pbc="T T T"
Mo 0.0000 0.0000 0.0000
W 0.0000 1.8408 6.7328
S 0.0000 0.0000 5.1595
S 0.0000 0.0000 8.3066
S 0.0000 1.8408 1.5667
S 0.0000 1.8408 20.8031
```

---

Starting from a DFT-relaxed cell (GGA-PBE, the Materials Project), the powder diffractogram of Ba7Pb17O24 was calculated for copper Kα.

Largest 10 diffraction maxima, by intensity, 2θ from 10° to 90°:
- 2θ = 29.04°, 3.075 Å, intensity 100.0, hkl 0 3 2
- 2θ = 29.30°, 3.048 Å, intensity 88.4, hkl 2 3 0
- 2θ = 29.55°, 3.023 Å, intensity 79.8, hkl 2 3 -2
- 2θ = 28.05°, 3.182 Å, intensity 64.8, hkl 0 6 0
- 2θ = 25.93°, 3.436 Å, intensity 24.0, hkl 2 0 -2
- 2θ = 53.59°, 1.710 Å, intensity 23.7, hkl 2 6 2
- 2θ = 54.52°, 1.683 Å, intensity 22.6, hkl 4 6 -2
- 2θ = 50.25°, 1.816 Å, intensity 22.3, hkl 0 9 2
- 2θ = 38.57°, 2.334 Å, intensity 22.2, hkl 2 6 -2
- 2θ = 54.05°, 1.697 Å, intensity 22.1, hkl 2 6 -4

```
48
Lattice="7.9343 0.0000 0.0000 0.0000 19.0890 0.0000 -3.8786 0.0000 7.0251" Properties=species:S:1:pos:R:3 pbc="T T T"
Ba 0.0000 0.0000 0.0000
Ba -0.0295 6.3171 0.0600
Ba -0.0295 12.7719 0.0600
Ba 4.1172 9.5445 2.1192
Ba 2.2154 9.5445 5.5801
Ba 4.0107 3.1726 2.3529
Ba 4.0107 15.9164 2.3529
Pb -2.0098 9.5445 5.7137
Pb -2.0085 3.1788 5.8164
Pb -2.0085 15.9102 5.8164
Pb 0.0737 3.1514 2.2321
Pb 0.0985 9.5445 2.1874
Pb 0.0737 15.9376 2.2321
Pb 2.0423 0.0000 3.3969
Pb 2.0478 6.2948 3.4303
Pb 2.0478 12.7942 3.4303
Pb 4.0241 0.0000 0.1324
Pb 4.0441 6.3069 0.1380
Pb 4.0441 12.7821 0.1380
Pb 2.1118 3.1616 5.9814
Pb 2.1118 15.9274 5.9814
Pb 5.8360 6.3844 3.5823
Pb 5.8360 12.7046 3.5823
Pb 5.8809 0.0000 3.5513
O 0.0188 3.1646 0.0095
O 0.0188 15.9244 0.0095
O 0.1658 9.5445 0.0364
O 1.5481 4.7763 1.9024
O 1.5481 14.3127 1.9024
O 1.6076 1.5860 1.9000
O 1.6076 17.5030 1.9000
O 1.6659 7.9887 2.0649
O 1.6659 11.1003 2.0649
O 3.9915 6.2376 2.3743
O 3.9915 12.8514 2.3743
O 4.0066 0.0000 2.3610
O 5.5459 7.8667 0.3716
O 5.5459 11.2223 0.3716
O 5.5553 1.5735 0.4458
O 5.5553 17.5155 0.4458
O 5.5608 4.7141 0.4794
O 5.5608 14.3749 0.4794
O 4.7092 7.9972 4.6616
O 4.7092 11.0918 4.6616
O 4.8374 1.5952 4.6904
O 4.8374 17.4939 4.6904
O 4.8321 4.7805 4.7321
O 4.8321 14.3085 4.7321
```